Starting from DFT lattice parameters and positions (PBE), the X-ray diffraction stick pattern of CeThTc2 was simulated for Cu Kα, 1.54184 Å.

The 10 most intense peaks (2θ from 10° to 80°), sorted by position:
2θ/deg  d [Å]  Rel. int.
12.60  7.025  3
25.35  3.514  10
28.39  3.143  3
36.15  2.485  100
38.43  2.342  2
44.67  2.029  3
52.05  1.757  18
58.76  1.571  4
65.01  1.435  36
76.71  1.242  11

Crystal structure
```
CeThTc2
1.0
3.5147 0.0000 0.0000
0.0000 3.5147 0.0000
0.0000 0.0000 7.0247
Ce Th Tc
1 1 2
Direct
0.0000 0.0000 0.0000
0.0000 0.0000 0.5000
0.5000 0.5000 0.2430
0.5000 0.5000 0.7570
```

***

Starting from DFT lattice parameters and positions (PBE), the X-ray diffraction stick pattern of KLa3Te4 was simulated for Cu Kα, 1.54184 Å.

The 10 most intense peaks (2θ from 10° to 80°), sorted by position:
2θ/deg  d [Å]  Rel. int.
26.31  3.387  62
27.96  3.191  100
29.80  2.998  27
38.57  2.334  31
38.85  2.318  72
41.03  2.200  30
48.54  1.875  22
61.76  1.502  19
63.84  1.458  19
66.92  1.398  15

Crystal structure
```
KLa3Te4
1.0
4.6360 0.0000 0.0000
-2.3180 4.0149 0.0000
0.0000 0.0000 31.5541
K La Te
2 6 8
Direct
0.3333 0.6667 0.2500
0.6667 0.3333 0.7500
0.0000 0.0000 0.0000
0.0000 0.0000 0.5000
0.3333 0.6667 0.6177
0.3333 0.6667 0.8823
0.6667 0.3333 0.1177
0.6667 0.3333 0.3823
0.0000 0.0000 0.1749
0.0000 0.0000 0.3251
0.0000 0.0000 0.6749
0.0000 0.0000 0.8251
0.3333 0.6667 0.0589
0.3333 0.6667 0.4411
0.6667 0.3333 0.5589
0.6667 0.3333 0.9411
```

***

Starting from DFT lattice parameters and positions (PBE), the X-ray diffraction stick pattern of Zr3CdPd12 was simulated for Cu Kα, 1.54184 Å.

The 4 most intense peaks (2θ from 10° to 80°), sorted by position:
2θ/deg  d [Å]  Rel. int.
38.65  2.329  100
44.93  2.017  48
65.42  1.427  31
78.65  1.217  36

Crystal structure
```
Zr3CdPd12
1.0
4.0364 0.0000 0.0000
0.0000 4.0364 0.0000
0.0000 0.0000 16.1265
Zr Cd Pd
3 1 12
Direct
0.0000 0.0000 0.0000
0.0000 0.0000 0.2538
0.0000 0.0000 0.7462
0.0000 0.0000 0.5000
0.0000 0.5000 0.1238
0.0000 0.5000 0.3713
0.0000 0.5000 0.6287
0.0000 0.5000 0.8762
0.5000 0.0000 0.1238
0.5000 0.0000 0.3713
0.5000 0.0000 0.6287
0.5000 0.0000 0.8762
0.5000 0.5000 0.0000
0.5000 0.5000 0.2475
0.5000 0.5000 0.5000
0.5000 0.5000 0.7525
```

***

Starting from DFT lattice parameters and positions (PBE), the X-ray diffraction stick pattern of BaAg2TeO4 was simulated for Cu Kα, 1.54184 Å.

The 10 most intense peaks (2θ from 10° to 80°), sorted by position:
2θ/deg  d [Å]  Rel. int.
26.97  3.306  93
28.03  3.183  22
29.15  3.064  47
30.50  2.931  100
32.66  2.742  58
34.62  2.591  61
34.78  2.580  11
46.96  1.935  23
49.68  1.835  18
56.93  1.617  23

Crystal structure
```
BaAg2TeO4
1.0
6.4895 -3.4682 0.0000
6.4895 3.4682 0.0000
-4.1820 0.0000 6.6067
Ba Ag Te O
2 4 2 8
Direct
0.2426 0.7574 0.5000
0.7574 0.2426 0.0000
0.2404 0.7041 0.0000
0.7041 0.2404 0.5000
0.7100 0.7691 0.4026
0.7691 0.7100 0.9026
0.1900 0.2892 0.5404
0.2892 0.1900 0.0404
0.0214 0.4776 0.3507
0.1481 0.9503 0.8749
0.3692 0.9862 0.3974
0.3726 0.4542 0.1421
0.4542 0.3726 0.6421
0.4776 0.0214 0.8507
0.9503 0.1481 0.3749
0.9862 0.3692 0.8974
```

***

Starting from DFT lattice parameters and positions (PBE), the X-ray diffraction stick pattern of Rb5Sb3Au3 was simulated for Cu Kα, 1.54184 Å.

The 10 most intense peaks (2θ from 10° to 80°), sorted by position:
2θ/deg  d [Å]  Rel. int.
16.58  5.347  100
24.46  3.639  33
25.45  3.500  14
28.92  3.087  62
31.27  2.861  34
33.52  2.673  17
34.20  2.622  13
36.18  2.483  20
40.04  2.252  23
46.94  1.936  22

Crystal structure
```
Rb5Sb3Au3
1.0
5.3455 -9.2626 0.0000
5.3455 9.2626 0.0000
-0.0129 0.0000 4.9657
Rb Sb Au
5 3 3
Direct
0.0000 0.0000 0.0000
0.2553 0.5103 0.9932
0.5103 0.2553 0.9932
0.5885 0.9220 0.4972
0.9220 0.5885 0.4972
0.2554 0.8595 0.9992
0.6511 0.6511 0.9939
0.8595 0.2554 0.9992
0.2549 0.9414 0.4994
0.5689 0.5689 0.4934
0.9414 0.2549 0.4994
```

***

Starting from DFT lattice parameters and positions (PBE), the X-ray diffraction stick pattern of CeFe3Ge5 was simulated for Cu Kα, 1.54184 Å.

The 10 most intense peaks (2θ from 10° to 80°), sorted by position:
2θ/deg  d [Å]  Rel. int.
21.80  4.076  73
31.04  2.881  48
34.66  2.588  52
34.81  2.577  46
35.35  2.539  100
36.07  2.490  52
44.46  2.038  75
54.85  1.674  28
56.34  1.633  26
66.96  1.397  29

Crystal structure
```
CeFe3Ge5
1.0
5.3111 -4.0774 0.0000
5.3111 4.0774 0.0000
-4.3689 0.0000 7.4705
Ce Fe Ge
2 6 10
Direct
0.1034 0.1034 0.3108
0.8966 0.8966 0.6892
0.0000 0.0000 0.0000
0.0000 0.0000 0.5000
0.2988 0.2988 0.8002
0.3584 0.3584 0.3369
0.6416 0.6416 0.6631
0.7012 0.7012 0.1998
0.0714 0.6240 0.3309
0.2413 0.2413 0.0279
0.3118 0.6882 0.0000
0.3760 0.9286 0.6691
0.4210 0.4210 0.6450
0.5790 0.5790 0.3550
0.6240 0.0714 0.3309
0.6882 0.3118 0.0000
0.7587 0.7587 0.9721
0.9286 0.3760 0.6691
```

***

Starting from DFT lattice parameters and positions (PBE), the X-ray diffraction stick pattern of Li2Nd3Cd4 was simulated for Cu Kα, 1.54184 Å.

The 10 most intense peaks (2θ from 10° to 80°), sorted by position:
2θ/deg  d [Å]  Rel. int.
20.09  4.419  29
33.59  2.668  94
33.78  2.654  90
35.17  2.552  100
35.19  2.550  50
49.40  1.845  20
49.63  1.837  31
61.96  1.498  20
62.19  1.493  21
63.12  1.473  26

Crystal structure
```
Li2Nd3Cd4
1.0
5.5140 -2.5501 0.0000
5.5140 2.5501 0.0000
-5.0521 0.0000 8.0159
Li Nd Cd
2 3 4
Direct
0.1140 0.1140 0.2814
0.8860 0.8860 0.7186
0.1649 0.1649 0.6670
0.5000 0.5000 0.0000
0.8351 0.8351 0.3330
0.2191 0.2191 0.0596
0.4389 0.4389 0.6116
0.5611 0.5611 0.3884
0.7809 0.7809 0.9404
```

***

Starting from DFT lattice parameters and positions (PBE), the X-ray diffraction stick pattern of ScTi2PbN was simulated for Cu Kα, 1.54184 Å.

The 10 most intense peaks (2θ from 10° to 80°), sorted by position:
2θ/deg  d [Å]  Rel. int.
19.26  4.609  19
21.17  4.197  34
28.77  3.103  49
30.11  2.968  21
35.99  2.495  100
39.09  2.304  23
43.10  2.099  35
52.65  1.738  19
59.58  1.552  26
74.38  1.275  24

Crystal structure
```
ScTi2PbN
1.0
4.1973 0.0000 0.0000
0.0000 4.1973 0.0000
0.0000 0.0000 4.6086
Sc Ti Pb N
1 2 1 1
Direct
0.0000 0.0000 0.0000
0.0000 0.5000 0.5000
0.5000 0.0000 0.5000
0.5000 0.5000 0.0000
0.0000 0.0000 0.5000
```

***

Starting from DFT lattice parameters and positions (PBE), the X-ray diffraction stick pattern of Ca2P2H2Pd5 was simulated for Cu Kα, 1.54184 Å.

The 10 most intense peaks (2θ from 10° to 80°), sorted by position:
2θ/deg  d [Å]  Rel. int.
16.67  5.319  33
25.10  3.549  20
30.26  2.954  19
35.24  2.547  63
40.16  2.245  100
42.49  2.127  17
44.15  2.051  57
62.94  1.477  21
64.22  1.450  20
78.50  1.218  27

Crystal structure
```
Ca2P2H2Pd5
1.0
-2.0516 2.0516 10.6371
2.0516 -2.0516 10.6371
2.0516 2.0516 -10.6371
Ca P H Pd
2 2 2 5
Direct
0.1982 0.1982 0.0000
0.8018 0.8018 0.0000
0.3428 0.3428 0.0000
0.6572 0.6572 0.0000
0.0827 0.0827 0.0000
0.9173 0.9173 0.0000
0.0000 0.0000 0.0000
0.0935 0.5935 0.5000
0.4065 0.9065 0.5000
0.5935 0.0935 0.5000
0.9065 0.4065 0.5000
```

***

Starting from DFT lattice parameters and positions (PBE), the X-ray diffraction stick pattern of KBaBP2O8 was simulated for Cu Kα, 1.54184 Å.

The 10 most intense peaks (2θ from 10° to 80°), sorted by position:
2θ/deg  d [Å]  Rel. int.
13.48  6.569  23
13.70  6.465  27
24.43  3.643  100
27.60  3.232  19
27.89  3.198  38
28.01  3.185  35
33.30  2.690  28
34.47  2.602  21
39.10  2.304  21
45.29  2.002  20

Crystal structure
```
KBaBP2O8
1.0
5.1546 -5.1509 0.0000
5.1546 5.1509 0.0000
-4.9479 0.0000 7.2863
K Ba B P O
2 2 2 4 16
Direct
0.0746 0.9254 0.5000
0.9254 0.0746 0.0000
0.4223 0.7996 0.9966
0.7996 0.4223 0.4966
0.2898 0.5602 0.2431
0.5602 0.2898 0.7431
0.2794 0.4242 0.4980
0.4242 0.2794 0.9980
0.5771 0.9192 0.4883
0.9192 0.5771 0.9883
0.0308 0.6407 0.8970
0.0670 0.5224 0.1472
0.1111 0.2402 0.4066
0.2250 0.6195 0.6087
0.2402 0.1111 0.9066
0.3475 0.4463 0.3545
0.3574 0.7825 0.3475
0.3925 0.4947 0.1210
0.4463 0.3475 0.8545
0.4947 0.3925 0.6210
0.5224 0.0670 0.6472
0.6195 0.2250 0.1087
0.6407 0.0308 0.3970
0.7316 0.7986 0.5592
0.7825 0.3574 0.8475
0.7986 0.7316 0.0592
```

***

Starting from DFT lattice parameters and positions (PBE), the X-ray diffraction stick pattern of Cs3Na2SnP3 was simulated for Cu Kα, 1.54184 Å.

The 10 most intense peaks (2θ from 10° to 80°), sorted by position:
2θ/deg  d [Å]  Rel. int.
21.14  4.203  70
25.73  3.462  21
27.95  3.192  34
28.13  3.172  34
28.32  3.151  100
33.95  2.641  19
36.86  2.438  50
47.01  1.933  19
47.25  1.924  23
49.97  1.825  22

Crystal structure
```
Cs3Na2SnP3
1.0
10.3060 -3.4615 0.0000
10.3060 3.4615 0.0000
0.0000 0.0000 16.5128
Cs Na Sn P
12 8 4 12
Direct
0.0586 0.6073 0.1729
0.1073 0.5586 0.6729
0.2326 0.7674 0.8215
0.2674 0.7326 0.3215
0.3927 0.9414 0.1729
0.4414 0.8927 0.6729
0.5586 0.1073 0.3271
0.6073 0.0586 0.8271
0.7326 0.2674 0.6785
0.7674 0.2326 0.1785
0.8927 0.4414 0.3271
0.9414 0.3927 0.8271
0.0806 0.0806 0.0000
0.2457 0.2457 0.0000
0.2543 0.2543 0.5000
0.4194 0.4194 0.5000
0.5806 0.5806 0.5000
0.7457 0.7457 0.5000
0.7543 0.7543 0.0000
0.9194 0.9194 0.0000
0.0873 0.0873 0.5000
0.4127 0.4127 0.0000
0.5873 0.5873 0.0000
0.9127 0.9127 0.5000
0.0607 0.6249 0.4086
0.1249 0.5607 0.9086
0.2007 0.7993 0.5827
0.2993 0.7007 0.0827
0.3751 0.9393 0.4086
0.4393 0.8751 0.9086
0.5607 0.1249 0.0914
0.6249 0.0607 0.5914
0.7007 0.2993 0.9173
0.7993 0.2007 0.4173
0.8751 0.4393 0.0914
0.9393 0.3751 0.5914
```

***

Starting from DFT lattice parameters and positions (PBE), the X-ray diffraction stick pattern of Ag3Pd4S was simulated for Cu Kα, 1.54184 Å.

The 10 most intense peaks (2θ from 10° to 80°), sorted by position:
2θ/deg  d [Å]  Rel. int.
32.01  2.796  21
33.85  2.648  16
37.39  2.405  45
37.85  2.377  47
38.16  2.358  100
39.94  2.257  48
46.17  1.966  34
47.32  1.921  26
62.66  1.483  23
79.75  1.203  21

Crystal structure
```
Ag3Pd4S
1.0
-2.7959 4.5148 2.7653
2.7959 -4.5148 2.7653
2.7959 4.5148 -2.7653
Ag Pd S
3 4 1
Direct
0.0000 0.0000 0.0000
0.0254 0.7521 0.2734
0.4787 0.7521 0.7266
0.0148 0.2644 0.7504
0.4958 0.2598 0.7640
0.4958 0.7318 0.2360
0.5140 0.2644 0.2496
0.8129 0.3129 0.5000
```